[1]
Starting from a crystal structure in Alexandria, relaxed with PBE, the XRD peak list of LaTh2Co6 was simulated for Cu Kα (weighted mean of Kα1 and Kα2).

abc: 6.8709 6.8709 4.0370
angles: 90.00 90.00 120.00
Space group P6/mmm (No. 191)
Symmetry-distinct sites (fractional):
La  0.0000  0.0000  0.0000 (multiplicity 1)
Th  0.3333  0.6667  0.0000 (multiplicity 2)
Co  0.0000  0.3362  0.5000 (multiplicity 6)

Peak list (10 most intense, 10° ≤ 2θ ≤ 80°, low angle first)
14.9°, I 4.7, (1 0 0); 25.9°, I 26.4, (1 1 0); 34.3°, I 100.0, (1 1 1); 44.9°, I 12.0, (0 0 2); 45.7°, I 34.2, (3 0 0); 52.6°, I 8.4, (1 1 2); 58.4°, I 21.5, (2 2 1); 66.0°, I 22.3, (3 0 2); 75.9°, I 9.9, (1 1 3); 77.2°, I 18.9, (4 1 1)

[2]
Starting from a crystal structure in Alexandria, relaxed with PBE, the XRD peak list of La6TlCo2 was simulated for Cu Kα (weighted mean of Kα1 and Kα2).

abc: 9.5225 10.4461 10.6106
angles: 90.00 90.00 90.00
Space group Immm (No. 71)
Symmetry-distinct sites (fractional):
La  0.0000  0.2076  0.2246 (multiplicity 8)
La  0.1845  0.5000  0.1663 (multiplicity 8)
La  0.1975  0.3275  0.5000 (multiplicity 8)
Tl  0.0000  0.0000  0.0000 (multiplicity 2)
Tl  0.0000  0.0000  0.5000 (multiplicity 2)
Co  0.0000  0.2943  0.0000 (multiplicity 4)
Co  0.0000  0.5000  0.3569 (multiplicity 4)

Peak list (10 most intense, 10° ≤ 2θ ≤ 80°, low angle first)
26.9°, I 35.6, (0 3 1); 29.4°, I 57.1, (3 1 0); 30.5°, I 100.0, (2 2 2); 32.2°, I 92.9, (1 3 2); 32.7°, I 39.9, (2 1 3); 33.0°, I 33.0, (2 3 1); 34.1°, I 34.4, (3 2 1); 34.3°, I 19.9, (0 4 0); 38.1°, I 32.4, (3 0 3); 57.9°, I 35.0, (5 3 2)

[3]
Starting from a crystal structure in Alexandria, relaxed with PBE, the XRD peak list of La7Tl2Co2 was simulated for Cu Kα (weighted mean of Kα1 and Kα2).

abc: 8.1834 11.6856 7.2754
angles: 90.00 90.00 90.00
Space group Cmmm (No. 65)
Symmetry-distinct sites (fractional):
La  0.0000  0.0000  0.0000 (multiplicity 2)
La  0.0000  0.5000  0.2180 (multiplicity 4)
La  0.2500  0.2500  0.2415 (multiplicity 8)
Tl  0.1802  0.0000  0.5000 (multiplicity 4)
Co  0.0000  0.2824  0.0000 (multiplicity 4)

Peak list (10 most intense, 10° ≤ 2θ ≤ 80°, low angle first)
19.5°, I 27.9, (0 2 1); 25.0°, I 37.3, (2 0 1); 26.6°, I 37.6, (2 2 0); 27.9°, I 54.2, (1 1 2); 28.9°, I 44.2, (0 2 2); 29.3°, I 21.7, (2 2 1); 30.6°, I 78.5, (0 4 0); 35.5°, I 40.2, (1 3 2); 36.5°, I 100.0, (2 2 2); 58.3°, I 24.0, (2 6 2)

[4]
Starting from a crystal structure in Alexandria, relaxed with PBE, the XRD peak list of La3Tl2Co was simulated for Cu Kα (weighted mean of Kα1 and Kα2).

abc: 17.3651 5.2857 3.8485
angles: 90.00 90.10 90.00
Space group C2/m (No. 12)
Symmetry-distinct sites (fractional):
La  0.0000  0.0000  0.0000 (multiplicity 2)
La  0.1256  0.5000  0.4997 (multiplicity 4)
Tl  0.1963  0.0000  0.9994 (multiplicity 4)
Co  0.0000  0.5000  0.0000 (multiplicity 2)

Peak list (10 most intense, 10° ≤ 2θ ≤ 80°, low angle first)
29.2°, I 72.4, (1 1 1); 30.8°, I 100.0, (5 1 0); 31.1°, I 60.9, (4 0 -1); 32.7°, I 71.3, (3 1 1); 33.9°, I 58.2, (0 2 0); 38.9°, I 23.9, (6 0 -1); 46.6°, I 28.9, (4 2 -1); 47.2°, I 23.1, (0 0 2); 57.5°, I 32.5, (5 1 2); 59.4°, I 23.2, (0 2 2)

[5]
Starting from a crystal structure in Alexandria, relaxed with PBE, the XRD peak list of La2YCo was simulated for Cu Kα (weighted mean of Kα1 and Kα2).

abc: 7.1157 10.1296 6.2989
angles: 90.00 90.00 90.00
Space group Pnma (No. 62)
Symmetry-distinct sites (fractional):
La  0.1674  0.0719  0.1758 (multiplicity 8)
Y  0.0446  0.2500  0.6581 (multiplicity 4)
Co  0.1156  0.7500  0.9274 (multiplicity 4)

Peak list (10 most intense, 10° ≤ 2θ ≤ 80°, low angle first)
28.8°, I 27.2, (2 0 1); 30.0°, I 100.0, (0 3 1); 30.2°, I 32.0, (2 1 1); 30.7°, I 33.1, (2 2 0); 31.1°, I 36.2, (1 0 2); 32.3°, I 54.0, (1 1 2); 32.6°, I 46.9, (1 3 1); 33.9°, I 68.7, (2 2 1); 36.7°, I 42.0, (2 3 0); 52.9°, I 29.5, (1 3 3)

[6]
Starting from a crystal structure in Alexandria, relaxed with PBE, the XRD peak list of La2YCo was simulated for Cu Kα (weighted mean of Kα1 and Kα2).

abc: 5.7377 11.5710 3.8896
angles: 90.00 90.00 90.00
Space group Cmmm (No. 65)
Symmetry-distinct sites (fractional):
La  0.0000  0.1527  0.0000 (multiplicity 4)
Y  0.0000  0.5000  0.5000 (multiplicity 2)
Co  0.0000  0.0000  0.5000 (multiplicity 2)

Peak list (10 most intense, 10° ≤ 2θ ≤ 80°, low angle first)
17.3°, I 61.0, (1 1 0); 27.6°, I 73.3, (0 2 1); 27.9°, I 100.0, (1 3 0); 28.8°, I 73.9, (1 1 1); 31.2°, I 79.7, (2 0 0); 36.3°, I 64.2, (1 3 1); 38.8°, I 63.2, (0 4 1); 42.1°, I 45.9, (2 2 1); 50.6°, I 58.0, (2 4 1); 55.3°, I 29.6, (1 3 2)

Q: Number 5 is which compound?
A: La2YCo